Structure and theoretical powder diffraction line list of Na2Li2As (a crystal structure in Alexandria, relaxed with GGA-PBE; Cu Kα, 1.54184 Å).
Kinematic intensities with the Lorentz-polarization factor, no thermal factor.

Top 8 peaks for 10 to 90 degrees two-theta, by angle:
h k l	2theta	I_rel
1 1 0	21.18	100
0 2 0	22.15	44
1 1 1	26.72	82
0 2 1	27.51	37
0 0 2	32.54	51
1 1 2	39.15	40
2 0 1	40.14	54
1 3 1	41.79	46

Structural model:
```
Na2Li2As
1.0
4.9216 0.0000 0.0000
0.0000 8.0263 0.0000
0.0000 0.0000 5.5041
Na Li As
4 4 2
Cartesian
1.1080 0.9289 0.0000
1.3528 4.9420 0.0000
3.5688 3.0843 0.0000
3.8137 7.0974 0.0000
0.1669 2.6558 2.7520
2.2939 6.6689 2.7520
2.6277 1.3574 2.7520
4.7548 5.3705 2.7520
0.0000 0.0000 2.7520
2.4608 4.0131 2.7520
```